Diffraction record for Cu3SbP4O16. The powder diffraction line list is simulated, not measured: it uses a crystal structure in the Materials Project, relaxed with PBE and Cu Kα (weighted mean of Kα1 and Kα2).

```
Cu3SbP4O16
1.0
4.889 0.000 0.000
0.000 5.978 0.000
-0.209 0.000 9.857
Cu Sb P O
3 1 4 16
direct
0.000 0.000 0.000
0.147 0.500 0.438
0.622 0.000 0.486
0.545 0.500 0.931
0.162 0.000 0.310
0.503 0.000 0.803
0.670 0.500 0.608
0.989 0.500 0.122
0.228 0.000 0.157
0.301 0.500 0.094
0.316 0.200 0.384
0.316 0.800 0.384
0.357 0.500 0.608
0.361 0.207 0.882
0.361 0.793 0.882
0.411 0.000 0.657
0.765 0.500 0.767
0.809 0.295 0.544
0.809 0.705 0.544
0.810 0.000 0.828
0.832 0.305 0.041
0.832 0.695 0.041
0.851 0.000 0.324
0.934 0.500 0.271
```

Most intense lines, 2θ from 10° to 90°, low angle first:
2theta	I/Imax
18.00	100
20.10	56
20.45	37
25.07	71
25.36	94
29.89	91
35.90	53
36.51	71
48.09	21
58.24	21

---

Diffraction record for CuSbP2O8. The powder diffraction line list is simulated, not measured: it uses a crystal structure in the Materials Project, relaxed with PBE and Cu Kα (weighted mean of Kα1 and Kα2).

```
CuSbP2O8
1.0
5.018 0.000 0.000
0.000 6.233 0.000
-0.495 0.000 9.989
Cu Sb P O
2 2 4 16
direct
0.088 0.250 0.215
0.912 0.750 0.785
0.463 0.250 0.721
0.537 0.750 0.279
0.084 0.750 0.093
0.410 0.750 0.600
0.590 0.250 0.400
0.916 0.250 0.907
0.136 0.750 0.946
0.219 0.250 0.886
0.237 0.560 0.171
0.237 0.940 0.171
0.278 0.551 0.669
0.278 0.949 0.669
0.287 0.250 0.385
0.315 0.750 0.449
0.685 0.250 0.551
0.713 0.750 0.615
0.722 0.051 0.331
0.722 0.449 0.331
0.763 0.060 0.829
0.763 0.440 0.829
0.781 0.750 0.114
0.864 0.250 0.054
```

Most intense lines, 2θ from 10° to 90°, low angle first:
2theta	I/Imax
17.75	100
19.42	39
20.21	27
24.15	62
24.53	27
24.80	68
28.64	80
34.72	44
36.12	45
38.88	25

---

Diffraction record for Ti3Cu2SbP6O24. The powder diffraction line list is simulated, not measured: it uses a crystal structure in the Materials Project, relaxed with PBE and Cu Kα (weighted mean of Kα1 and Kα2).

```
Ti3Cu2SbP6O24
1.0
4.361 2.518 7.129
-4.361 2.518 7.129
0.000 -5.035 7.129
Ti Cu Sb P O
3 2 1 6 24
direct
0.000 0.000 0.000
0.215 0.215 0.215
0.500 0.500 0.500
0.358 0.358 0.358
0.864 0.864 0.864
0.715 0.715 0.715
0.112 0.819 0.394
0.311 0.606 0.901
0.394 0.112 0.819
0.606 0.901 0.311
0.819 0.394 0.112
0.901 0.311 0.606
0.054 0.858 0.234
0.088 0.289 0.440
0.123 0.773 0.918
0.170 0.980 0.348
0.234 0.054 0.858
0.277 0.630 0.413
0.289 0.440 0.088
0.348 0.170 0.980
0.360 0.556 0.732
0.413 0.277 0.630
0.440 0.088 0.289
0.464 0.658 0.882
0.556 0.732 0.360
0.586 0.950 0.808
0.630 0.413 0.277
0.658 0.882 0.464
0.732 0.360 0.556
0.773 0.918 0.123
0.808 0.586 0.950
0.858 0.234 0.054
0.882 0.464 0.658
0.918 0.123 0.773
0.950 0.808 0.586
0.980 0.348 0.170
```

Most intense lines, 2θ from 10° to 90°, low angle first:
2theta	I/Imax
20.36	100
23.92	86
25.01	16
31.62	17
32.44	76
35.66	43
46.54	31
48.97	26
55.76	41
62.02	24

---

Diffraction record for Ti3Cu2SnP6O24. The powder diffraction line list is simulated, not measured: it uses a crystal structure in the Materials Project, relaxed with PBE and Cu Kα (weighted mean of Kα1 and Kα2).

```
Ti3Cu2SnP6O24
1.0
4.343 2.508 7.116
-4.343 2.508 7.116
0.000 -5.015 7.116
Ti Cu Sn P O
3 2 1 6 24
direct
0.000 0.000 0.000
0.216 0.216 0.216
0.500 0.500 0.500
0.358 0.358 0.358
0.862 0.862 0.862
0.716 0.716 0.716
0.111 0.820 0.395
0.315 0.607 0.900
0.395 0.111 0.820
0.607 0.900 0.315
0.820 0.395 0.111
0.900 0.315 0.607
0.056 0.859 0.233
0.088 0.294 0.441
0.127 0.774 0.918
0.164 0.983 0.355
0.233 0.056 0.859
0.277 0.631 0.415
0.294 0.441 0.088
0.355 0.164 0.983
0.359 0.557 0.733
0.415 0.277 0.631
0.441 0.088 0.294
0.473 0.658 0.873
0.557 0.733 0.359
0.587 0.946 0.804
0.631 0.415 0.277
0.658 0.873 0.473
0.733 0.359 0.557
0.774 0.918 0.127
0.804 0.587 0.946
0.859 0.233 0.056
0.873 0.473 0.658
0.918 0.127 0.774
0.946 0.804 0.587
0.983 0.355 0.164
```

Most intense lines, 2θ from 10° to 90°, low angle first:
2theta	I/Imax
20.44	100
24.00	85
31.74	17
32.54	76
35.81	34
46.68	31
49.15	25
55.93	16
56.02	26
62.28	18

---

Diffraction record for Sr2CuP2O8. The powder diffraction line list is simulated, not measured: it uses a crystal structure in the Materials Project, relaxed with PBE and Cu Kα (weighted mean of Kα1 and Kα2).

```
Sr2CuP2O8
1.0
5.826 -2.566 0.000
5.826 2.566 0.000
-1.883 0.000 6.408
Sr Cu P O
2 1 2 8
direct
0.171 0.171 0.217
0.829 0.829 0.783
0.500 0.500 0.500
0.142 0.142 0.710
0.858 0.858 0.290
0.050 0.050 0.832
0.114 0.624 0.436
0.271 0.271 0.858
0.376 0.886 0.564
0.624 0.114 0.436
0.729 0.729 0.142
0.886 0.376 0.564
0.950 0.950 0.168
```

Most intense lines, 2θ from 10° to 90°, low angle first:
2theta	I/Imax
19.03	32
22.21	67
27.91	80
29.63	100
31.98	30
34.96	42
35.82	48
45.29	36
45.98	33
47.48	28

---

Diffraction record for SrCuP2O7. The powder diffraction line list is simulated, not measured: it uses a crystal structure in the Materials Project, relaxed with PBE and Cu Kα (weighted mean of Kα1 and Kα2).

```
SrCuP2O7
1.0
5.500 0.000 0.000
0.000 8.209 0.000
-5.286 0.000 12.596
Sr Cu P O
4 4 8 28
direct
0.008 0.156 0.219
0.008 0.344 0.719
0.992 0.656 0.281
0.992 0.844 0.781
0.326 0.646 0.613
0.326 0.854 0.113
0.674 0.146 0.887
0.674 0.354 0.387
0.331 0.194 0.012
0.331 0.306 0.512
0.405 0.037 0.661
0.405 0.463 0.161
0.595 0.537 0.839
0.595 0.963 0.339
0.669 0.694 0.488
0.669 0.806 0.988
0.122 0.177 0.901
0.122 0.323 0.401
0.179 0.058 0.698
0.179 0.442 0.198
0.273 0.094 0.097
0.273 0.406 0.597
0.317 0.117 0.545
0.317 0.383 0.045
0.338 0.624 0.765
0.338 0.876 0.265
0.381 0.664 0.477
0.381 0.836 0.977
0.481 0.640 0.151
0.481 0.860 0.651
0.519 0.140 0.349
0.519 0.360 0.849
0.619 0.164 0.023
0.619 0.336 0.523
0.662 0.124 0.735
0.662 0.376 0.235
0.683 0.617 0.955
0.683 0.883 0.455
0.727 0.594 0.403
0.727 0.906 0.903
0.821 0.558 0.802
0.821 0.942 0.302
0.878 0.677 0.599
0.878 0.823 0.099
```

Most intense lines, 2θ from 10° to 90°, low angle first:
2theta	I/Imax
12.87	39
26.49	100
27.11	80
29.09	53
30.44	44
30.79	31
32.56	65
33.51	40
44.55	35
44.90	38